Entry 1:
Simulated powder diffraction line list
Compound: Y15TmO24
Radiation: Cu Kα X-rays
Structure: a cell relaxed with GGA-PBE
Intensities are scaled so that the largest is 100.

Structural model:
```
data_Y15TmO24
_cell_length_a 15.1063
_cell_length_b 10.6857
_cell_length_c 10.6869
_cell_angle_alpha 90.00
_cell_angle_beta 134.96
_cell_angle_gamma 90.00
_space_group_name_H-M_alt 'C 1 2 1'
_space_group_IT_number 5
loop_
_space_group_symop_operation_xyz
'x,y,z'
'-x,y,-z'
'x+1/2,y+1/2,z'
'-x+1/2,y+1/2,-z'
loop_
_atom_site_label
_atom_site_fract_x
_atom_site_fract_y
_atom_site_fract_z
Y1 0.0000 0.9997 0.0000
Y2 0.0000 0.0650 0.5000
Y3 0.0000 0.5000 0.0000
Y4 0.9998 0.7820 0.2504
Y5 0.0006 0.2832 0.7499
Y6 0.2169 0.5329 0.4675
Y7 0.2178 0.0324 0.9682
Y8 0.2495 0.2831 0.7168
Y9 0.2504 0.2820 0.2182
Tm1 0.0000 0.5658 0.5000
O1 0.0966 0.4142 0.4894
O2 0.0985 0.1528 0.9894
O3 0.0985 0.6528 0.2076
O4 0.0985 0.9121 0.7075
O5 0.1284 0.6394 0.7779
O6 0.1298 0.1422 0.4779
O7 0.1298 0.4235 0.9787
O8 0.1301 0.9235 0.2820
O9 0.1390 0.6832 0.5202
O10 0.1414 0.1839 0.7617
O11 0.1414 0.3805 0.2625
O12 0.1409 0.8804 0.0205
```

Largest 12 diffraction maxima, low angle first, 15 to 90 degrees two-theta:
| Position (°2θ) | I_rel | hkl |
| --- | --- | --- |
| 20.4 | 14 | 1 1 1 |
| 28.9 | 100 | 0 2 2 |
| 33.5 | 27 | 4 0 0 |
| 35.6 | 6 | 5 1 -1 |
| 39.6 | 6 | 5 3 -3 |
| 43.2 | 10 | 1 1 3 |
| 48.2 | 43 | 0 0 4 |
| 52.8 | 6 | 0 6 1 |
| 57.2 | 30 | 4 2 -6 |
| 58.6 | 7 | 9 1 -3 |
| 77.9 | 6 | 0 2 6 |
| 89.9 | 6 | 4 4 -8 |

Entry 2:
Simulated powder diffraction line list
Compound: NdSm6Pb
Radiation: Cu Kα X-rays
Structure: a cell relaxed with GGA-PBE
Intensities are scaled so that the largest is 100.

Structural model:
```
data_NdSm6Pb
_cell_length_a 4.9899
_cell_length_b 4.9899
_cell_length_c 10.3677
_cell_angle_alpha 90.00
_cell_angle_beta 90.00
_cell_angle_gamma 90.00
_space_group_name_H-M_alt 'P 4/m m m'
_space_group_IT_number 123
_space_group_name_Hall '-P 4 2'
loop_
_atom_site_label
_atom_site_fract_x
_atom_site_fract_y
_atom_site_fract_z
Nd1 0.0000 0.0000 0.0000
Sm1 0.0000 0.5000 0.2573
Sm2 0.5000 0.5000 0.0000
Sm3 0.5000 0.5000 0.5000
Pb1 0.0000 0.0000 0.5000
```

Largest 12 diffraction maxima, low angle first, 15 to 90 degrees two-theta:
| Position (°2θ) | I_rel | hkl |
| --- | --- | --- |
| 30.7 | 100 | 1 1 2 |
| 34.6 | 18 | 0 0 4 |
| 36.0 | 33 | 2 0 0 |
| 50.8 | 24 | 2 0 4 |
| 51.8 | 12 | 2 2 0 |
| 59.6 | 15 | 1 1 6 |
| 61.4 | 28 | 3 1 2 |
| 63.8 | 12 | 2 2 4 |
| 82.8 | 12 | 3 1 6 |
| 84.2 | 5 | 2 0 8 |
| 84.5 | 6 | 3 3 2 |
| 86.6 | 5 | 4 0 4 |

Entry 3:
Simulated powder diffraction line list
Compound: Tb7Te4As4
Radiation: Cu Kα X-rays
Structure: a cell relaxed with GGA-PBE
Intensities are scaled so that the largest is 100.

Structural model:
```
data_Tb7Te4As4
_cell_length_a 14.8782
_cell_length_b 14.8782
_cell_length_c 7.5919
_cell_angle_alpha 90.00
_cell_angle_beta 90.00
_cell_angle_gamma 90.00
_space_group_name_H-M_alt 'I 4/m m m'
_space_group_IT_number 139
_space_group_name_Hall '-I 4 2'
loop_
_atom_site_label
_atom_site_fract_x
_atom_site_fract_y
_atom_site_fract_z
Tb1 0.0000 0.0000 0.2430
Tb2 0.0000 0.2882 0.0000
Tb3 0.0000 0.3646 0.5000
Tb4 0.2147 0.2147 0.5000
Te1 0.0000 0.1671 0.5000
Te2 0.1259 0.1259 0.0000
As1 0.1450 0.3550 0.2500
```

Largest 12 diffraction maxima, low angle first, 15 to 90 degrees two-theta:
| Position (°2θ) | I_rel | hkl |
| --- | --- | --- |
| 23.4 | 31 | 0 0 2 |
| 30.3 | 30 | 3 1 2 |
| 32.3 | 100 | 5 0 1 |
| 34.8 | 16 | 3 3 2 |
| 35.9 | 49 | 4 2 2 |
| 36.2 | 17 | 6 0 0 |
| 47.1 | 34 | 5 0 3 |
| 47.9 | 17 | 0 0 4 |
| 50.9 | 11 | 7 4 1 |
| 61.5 | 10 | 6 0 4 |
| 69.0 | 12 | 7 3 4 |
| 69.5 | 11 | 5 0 5 |